(1)
Structure and theoretical PXRD pattern of Ac2Sm4Pb3O2 (DFT lattice parameters and positions (GGA-PBE); Cu Kα, 1.54184 Å).

Main lines, low angle first (2θ = 5–70°):
2θ = 26.7°, d = 3.341 Å, intensity 54
2θ = 29.7°, d = 3.009 Å, intensity 24
2θ = 32.8°, d = 2.728 Å, intensity 100
2θ = 36.9°, d = 2.437 Å, intensity 52
2θ = 48.0°, d = 1.895 Å, intensity 22
2θ = 63.9°, d = 1.457 Å, intensity 31

Structure:
Unit cell a=13.824 b=13.824 c=13.824 alpha=159.69 beta=159.69 gamma=28.87
Sites, in units of the cell vectors:
Ac: 0.193 0.193 0.000
Ac: 0.807 0.807 0.000
Sm: 0.080 0.580 0.500
Sm: 0.420 0.920 0.500
Sm: 0.580 0.080 0.500
Sm: 0.920 0.420 0.500
Pb: 0.328 0.328 0.000
Pb: 0.500 0.500 0.000
Pb: 0.672 0.672 0.000
O: 0.095 0.095 0.000
O: 0.905 0.905 0.000

=====

(2)
Structure and theoretical PXRD pattern of RbAsAu3 (DFT lattice parameters and positions (GGA-PBE); Cu Kα, 1.54184 Å).

Main lines, low angle first (2θ = 5–70°):
2θ = 13.5°, d = 6.549 Å, intensity 100
2θ = 30.3°, d = 2.952 Å, intensity 22
2θ = 38.6°, d = 2.332 Å, intensity 19
2θ = 39.2°, d = 2.299 Å, intensity 33
2θ = 41.6°, d = 2.169 Å, intensity 32
2θ = 44.0°, d = 2.060 Å, intensity 15

Structure:
Unit cell a=6.549 b=6.814 c=7.327 alpha=90.00 beta=90.05 gamma=90.00
Sites, in units of the cell vectors:
Rb: 0.093 0.000 0.250
Rb: 0.907 0.500 0.750
As: 0.423 0.555 0.250
As: 0.577 0.055 0.750
Au: 0.409 0.717 0.750
Au: 0.412 0.367 0.562
Au: 0.412 0.367 0.938
Au: 0.588 0.867 0.062
Au: 0.588 0.867 0.438
Au: 0.591 0.217 0.250